CsBe2Bi2: calculated powder diffractogram (CuKα), based on a structure optimized by DFT (PBE).
Lines closer than 0.1° are merged.

Most intense lines, 10° ≤ 2θ ≤ 90°, most intense first:
Position (°2θ), d (Å), I (rel.)
26.79, 3.328, 100
31.49, 2.841, 33
53.27, 1.720, 31
44.11, 2.053, 25
30.08, 2.971, 16
45.14, 2.009, 13
51.44, 1.776, 13
55.20, 1.664, 12
70.81, 1.331, 10
82.60, 1.168, 9

Cell and atoms:
abc: 9.3535 9.3535 9.3535
angles: 155.20 155.20 35.36
Positions (direct):
Cs (0.0000, 0.0000, 0.0000)
Be (0.2500, 0.7500, 0.5000)
Be (0.7500, 0.2500, 0.5000)
Bi (0.3439, 0.3439, 0.0000)
Bi (0.6561, 0.6561, 0.0000)

***

Al4ZnCu7: calculated powder diffractogram (CuKα), based on a structure optimized by DFT (PBE).
Lines closer than 0.1° are merged.

Most intense lines, 10° ≤ 2θ ≤ 90°, most intense first:
Position (°2θ), d (Å), I (rel.)
42.00, 2.151, 100
41.69, 2.166, 51
42.85, 2.110, 46
45.69, 1.986, 38
46.06, 1.971, 38
54.99, 1.670, 21
81.50, 1.181, 12
66.06, 1.414, 12
22.73, 3.911, 11
67.72, 1.384, 10

Cell and atoms:
abc: 5.1187 5.4200 6.1743
angles: 75.42 81.32 71.70
Positions (direct):
Al (0.0889, 0.1889, 0.3241)
Al (0.3299, 0.6471, 0.3230)
Al (0.6701, 0.3529, 0.6770)
Al (0.9111, 0.8111, 0.6759)
Zn (0.5000, 0.0000, 0.0000)
Cu (0.0000, 0.0000, 0.0000)
Cu (0.1753, 0.3271, 0.6643)
Cu (0.2519, 0.5055, 0.9852)
Cu (0.4018, 0.8395, 0.6513)
Cu (0.5982, 0.1605, 0.3487)
Cu (0.7481, 0.4945, 0.0148)
Cu (0.8247, 0.6729, 0.3357)

***

Lu3Sb5O12: calculated powder diffractogram (CuKα), based on a structure optimized by DFT (PBE).
Lines closer than 0.1° are merged.

Most intense lines, 10° ≤ 2θ ≤ 90°, most intense first:
Position (°2θ), d (Å), I (rel.)
28.82, 3.098, 100
47.95, 1.897, 42
56.91, 1.618, 38
33.39, 2.683, 35
11.66, 7.589, 19
77.54, 1.231, 13
79.95, 1.200, 11
89.46, 1.095, 9
59.69, 1.549, 9
31.18, 2.869, 5

Cell and atoms:
abc: 9.2950 9.2950 9.2950
angles: 109.47 109.47 109.47
Positions (direct):
Lu (0.2500, 0.5000, 0.7500)
Lu (0.2500, 0.7500, 0.5000)
Lu (0.5000, 0.2500, 0.7500)
Lu (0.5000, 0.7500, 0.2500)
Lu (0.7500, 0.2500, 0.5000)
Lu (0.7500, 0.5000, 0.2500)
Sb (0.0000, 0.0000, 0.4810)
Sb (0.0000, 0.2836, 0.2836)
Sb (0.0000, 0.4810, 0.0000)
Sb (0.0000, 0.7164, 0.7164)
Sb (0.2836, 0.0000, 0.2836)
Sb (0.2836, 0.2836, 0.0000)
Sb (0.4810, 0.0000, 0.0000)
Sb (0.5190, 0.5190, 0.5190)
Sb (0.7164, 0.0000, 0.7164)
Sb (0.7164, 0.7164, 0.0000)
O (0.0000, 0.2974, 0.5022)
O (0.0000, 0.5022, 0.2974)
O (0.0000, 0.5179, 0.7962)
O (0.0000, 0.7962, 0.5179)
O (0.2038, 0.2038, 0.7217)
O (0.2038, 0.7217, 0.2038)
O (0.2048, 0.7026, 0.7026)
O (0.2783, 0.4821, 0.4821)
O (0.2974, 0.0000, 0.5022)
O (0.2974, 0.5022, 0.0000)
O (0.4821, 0.2783, 0.4821)
O (0.4821, 0.4821, 0.2783)
O (0.4978, 0.4978, 0.7952)
O (0.4978, 0.7952, 0.4978)
O (0.5022, 0.0000, 0.2974)
O (0.5022, 0.2974, 0.0000)
O (0.5179, 0.0000, 0.7962)
O (0.5179, 0.7962, 0.0000)
O (0.7026, 0.2048, 0.7026)
O (0.7026, 0.7026, 0.2048)
O (0.7217, 0.2038, 0.2038)
O (0.7952, 0.4978, 0.4978)
O (0.7962, 0.0000, 0.5179)
O (0.7962, 0.5179, 0.0000)

***

Li2Sm2Al5Pd: calculated powder diffractogram (CuKα), based on a structure optimized by DFT (PBE).
Lines closer than 0.1° are merged.

Most intense lines, 10° ≤ 2θ ≤ 90°, most intense first:
Position (°2θ), d (Å), I (rel.)
37.09, 2.424, 100
30.78, 2.905, 91
20.19, 4.398, 87
37.71, 2.385, 65
34.68, 2.586, 56
22.98, 3.870, 40
59.82, 1.546, 35
28.71, 3.110, 33
25.62, 3.477, 32
44.63, 2.031, 31

Cell and atoms:
abc: 9.8345 9.8345 3.8698
angles: 90.00 90.00 90.00
Positions (direct):
Li (0.1168, 0.3832, 0.0000)
Li (0.3832, 0.8832, 0.0000)
Li (0.6168, 0.1168, 0.0000)
Li (0.8832, 0.6168, 0.0000)
Sm (0.1832, 0.6832, 0.0000)
Sm (0.3168, 0.1832, 0.0000)
Sm (0.6832, 0.8168, 0.0000)
Sm (0.8168, 0.3168, 0.0000)
Al (0.0000, 0.5000, 0.5000)
Al (0.0492, 0.1918, 0.5000)
Al (0.1918, 0.9508, 0.5000)
Al (0.3082, 0.4508, 0.5000)
Al (0.4508, 0.6918, 0.5000)
Al (0.5000, 0.0000, 0.5000)
Al (0.5492, 0.3082, 0.5000)
Al (0.6918, 0.5492, 0.5000)
Al (0.8082, 0.0492, 0.5000)
Al (0.9508, 0.8082, 0.5000)
Pd (0.0000, 0.0000, 0.0000)
Pd (0.5000, 0.5000, 0.0000)

***

Ac3Pm2Sn3: calculated powder diffractogram (CuKα), based on a structure optimized by DFT (PBE).
Lines closer than 0.1° are merged.

Most intense lines, 10° ≤ 2θ ≤ 90°, most intense first:
Position (°2θ), d (Å), I (rel.)
31.01, 2.883, 100
31.69, 2.823, 57
32.02, 2.795, 30
48.68, 1.870, 29
28.16, 3.169, 27
25.63, 3.475, 19
50.87, 1.795, 19
27.79, 3.211, 16
49.15, 1.854, 15
45.68, 1.986, 14

Cell and atoms:
abc: 9.6814 9.6814 6.9508
angles: 90.00 90.00 120.00
Positions (direct):
Ac (0.0000, 0.2472, 0.2500)
Ac (0.0000, 0.7528, 0.7500)
Ac (0.2472, 0.0000, 0.2500)
Ac (0.2472, 0.2472, 0.7500)
Ac (0.7528, 0.0000, 0.7500)
Ac (0.7528, 0.7528, 0.2500)
Pm (0.3333, 0.6667, 0.0000)
Pm (0.3333, 0.6667, 0.5000)
Pm (0.6667, 0.3333, 0.0000)
Pm (0.6667, 0.3333, 0.5000)
Sn (0.0000, 0.3994, 0.7500)
Sn (0.0000, 0.6006, 0.2500)
Sn (0.3994, 0.0000, 0.7500)
Sn (0.3994, 0.3994, 0.2500)
Sn (0.6006, 0.0000, 0.2500)
Sn (0.6006, 0.6006, 0.7500)

***

CsGaBr4: calculated powder diffractogram (CuKα), based on a structure optimized by DFT (PBE).
Lines closer than 0.1° are merged.

Most intense lines, 10° ≤ 2θ ≤ 90°, most intense first:
Position (°2θ), d (Å), I (rel.)
21.89, 4.060, 100
28.57, 3.124, 79
27.23, 3.275, 77
50.63, 1.803, 66
29.27, 3.051, 61
20.11, 4.416, 58
29.88, 2.990, 56
29.46, 3.032, 55
47.53, 1.913, 53
29.68, 3.010, 49

Cell and atoms:
abc: 12.6845 7.6563 10.3428
angles: 90.00 90.00 90.00
Positions (direct):
Cs (0.1800, 0.2500, 0.1599)
Cs (0.3200, 0.7500, 0.6599)
Cs (0.6800, 0.2500, 0.3401)
Cs (0.8200, 0.7500, 0.8401)
Ga (0.0649, 0.2500, 0.7018)
Ga (0.4351, 0.7500, 0.2018)
Ga (0.5649, 0.2500, 0.7982)
Ga (0.9351, 0.7500, 0.2982)
Br (0.0904, 0.9999, 0.8343)
Br (0.0904, 0.5001, 0.8343)
Br (0.1086, 0.7500, 0.3771)
Br (0.1946, 0.2500, 0.5382)
Br (0.3054, 0.7500, 0.0382)
Br (0.3914, 0.2500, 0.8771)
Br (0.4096, 0.0001, 0.3343)
Br (0.4096, 0.4999, 0.3343)
Br (0.5904, 0.9999, 0.6657)
Br (0.5904, 0.5001, 0.6657)
Br (0.6086, 0.7500, 0.1229)
Br (0.6946, 0.2500, 0.9618)
Br (0.8054, 0.7500, 0.4618)
Br (0.8914, 0.2500, 0.6229)
Br (0.9096, 0.0001, 0.1657)
Br (0.9096, 0.4999, 0.1657)

***

Sr2CaMg9: calculated powder diffractogram (CuKα), based on a structure optimized by DFT (PBE).
Lines closer than 0.1° are merged.

Most intense lines, 10° ≤ 2θ ≤ 90°, most intense first:
Position (°2θ), d (Å), I (rel.)
33.48, 2.676, 100
28.37, 3.145, 57
26.16, 3.406, 54
53.60, 1.710, 39
33.01, 2.713, 36
28.54, 3.127, 33
58.71, 1.573, 23
36.30, 2.475, 22
34.97, 2.566, 20
48.91, 1.862, 19

Cell and atoms:
abc: 10.8128 10.8128 10.8128
angles: 33.82 33.82 33.82
Positions (direct):
Sr (0.1423, 0.1423, 0.1423)
Sr (0.8577, 0.8577, 0.8577)
Ca (0.0000, 0.0000, 0.0000)
Mg (0.0801, 0.5823, 0.5823)
Mg (0.3336, 0.3336, 0.3336)
Mg (0.4177, 0.4177, 0.9199)
Mg (0.4177, 0.9199, 0.4177)
Mg (0.5000, 0.5000, 0.5000)
Mg (0.5823, 0.0801, 0.5823)
Mg (0.5823, 0.5823, 0.0801)
Mg (0.6664, 0.6664, 0.6664)
Mg (0.9199, 0.4177, 0.4177)

***

Ho4Ni13C4: calculated powder diffractogram (CuKα), based on a structure optimized by DFT (PBE).
Lines closer than 0.1° are merged.

Most intense lines, 10° ≤ 2θ ≤ 90°, most intense first:
Position (°2θ), d (Å), I (rel.)
41.61, 2.170, 100
33.24, 2.695, 76
38.10, 2.362, 47
47.26, 1.923, 45
33.56, 2.670, 41
44.39, 2.041, 40
34.11, 2.629, 30
44.89, 2.019, 23
66.84, 1.400, 23
41.21, 2.190, 21

Cell and atoms:
abc: 8.3711 8.3711 3.8465
angles: 90.00 90.00 91.30
Positions (direct):
Ho (0.1877, 0.8123, 0.0000)
Ho (0.3481, 0.3481, 0.0000)
Ho (0.6519, 0.6519, 0.0000)
Ho (0.8123, 0.1877, 0.0000)
Ni (0.0000, 0.0000, 0.5000)
Ni (0.0000, 0.5000, 0.0000)
Ni (0.0743, 0.2910, 0.5000)
Ni (0.1228, 0.1228, 0.0000)
Ni (0.2158, 0.5692, 0.5000)
Ni (0.2910, 0.0743, 0.5000)
Ni (0.4308, 0.7842, 0.5000)
Ni (0.5000, 0.0000, 0.0000)
Ni (0.5692, 0.2158, 0.5000)
Ni (0.7090, 0.9257, 0.5000)
Ni (0.7842, 0.4308, 0.5000)
Ni (0.8772, 0.8772, 0.0000)
Ni (0.9257, 0.7090, 0.5000)
C (0.0000, 0.5000, 0.5000)
C (0.4431, 0.5569, 0.5000)
C (0.5000, 0.0000, 0.5000)
C (0.5569, 0.4431, 0.5000)